Entry 1:
Structure and computed XRD peak list of CsZr6MnCl14 (a DFT-relaxed cell (PBE, the Materials Project); CuKα).
Neutral-atom scattering factors, no anomalous dispersion.

```
data_CsZr6MnCl14
_chemical_formula_sum 'Cs4 Zr24 Mn4 Cl56'
_symmetry_space_group_name_H-M 'C m c e'
_symmetry_Int_Tables_number 64
_symmetry_space_group_name_Hall '-C 2ac 2'
_cell_length_a 14.686
_cell_length_b 13.241
_cell_length_c 12.098
_cell_angle_alpha 90.00
_cell_angle_beta 90.00
_cell_angle_gamma 90.00
loop_
_atom_site_label
_atom_site_type_symbol
_atom_site_fract_x
_atom_site_fract_y
_atom_site_fract_z
_atom_site_occupancy
Cs1 Cs 0.000 0.000 0.000 1
Zr1 Zr 0.000 0.151 0.390 1
Zr2 Zr 0.120 0.072 0.618 1
Mn1 Mn 0.000 0.000 0.500 1
Cl1 Cl 0.000 0.156 0.757 1
Cl2 Cl 0.123 0.087 0.255 1
Cl3 Cl 0.123 0.239 0.507 1
Cl4 Cl 0.249 0.000 0.500 1
Cl5 Cl 0.250 0.149 0.750 1
```

Principal peaks in the range 10° ≤ 2θ ≤ 90°, by intensity:
- 11.60 deg, I 100, hkl 1 1 1
- 35.75 deg, I 64, hkl 4 2 3
- 12.05 deg, I 59, hkl 2 0 0
- 31.55 deg, I 52, hkl 4 2 2
- 48.11 deg, I 40, hkl 4 6 0
- 13.37 deg, I 39, hkl 0 2 0
- 30.79 deg, I 36, hkl 0 4 2
- 23.85 deg, I 33, hkl 1 1 3

***

Entry 2:
Structure and computed XRD peak list of Cs2SeO4 (a DFT-relaxed cell (PBE, the Materials Project); CuKα).
Neutral-atom scattering factors, no anomalous dispersion.

```
data_Cs2SeO4
_chemical_formula_sum 'Cs8 Se4 O16'
_symmetry_space_group_name_H-M 'P n m a'
_symmetry_Int_Tables_number 62
_cell_length_a 8.549
_cell_length_b 6.574
_cell_length_c 11.532
_cell_angle_alpha 90.00
_cell_angle_beta 90.00
_cell_angle_gamma 90.00
loop_
_symmetry_equiv_pos_as_xyz
'x,y,z'
'-x,-y,-z'
'-x+1/2,-y,z+1/2'
'x+1/2,y,-z+1/2'
'x+1/2,-y+1/2,-z+1/2'
'-x+1/2,y+1/2,z+1/2'
'-x,y+1/2,-z'
'x,-y+1/2,z'
loop_
_atom_site_label
_atom_site_type_symbol
_atom_site_fract_x
_atom_site_fract_y
_atom_site_fract_z
_atom_site_occupancy
Cs1 Cs 0.010 0.250 0.204 1
Cs2 Cs 0.176 0.750 0.411 1
Se1 Se 0.234 0.750 0.081 1
O1 O 0.039 0.750 0.083 1
O2 O 0.198 0.041 0.648 1
O3 O 0.199 0.250 0.443 1
```

Principal peaks in the range 10° ≤ 2θ ≤ 90°, by intensity:
- 26.01 deg, I 100, hkl 2 1 1
- 26.87 deg, I 76, hkl 0 1 3
- 27.13 deg, I 49, hkl 0 2 0
- 37.89 deg, I 25, hkl 2 2 2
- 23.00 deg, I 25, hkl 1 1 2
- 46.90 deg, I 14, hkl 3 1 4
- 47.28 deg, I 14, hkl 0 0 6
- 47.77 deg, I 14, hkl 0 3 3

***

Entry 3:
Structure and computed XRD peak list of LiMg14W (a DFT-relaxed cell (PBE, the Materials Project); CuKα).
Neutral-atom scattering factors, no anomalous dispersion.

```
data_LiMg14W
_chemical_formula_sum 'Li2 Mg28 W2'
_symmetry_space_group_name_H-M 'A m m 2'
_symmetry_Int_Tables_number 38
_cell_length_a 9.983
_cell_length_b 6.366
_cell_length_c 10.814
_cell_angle_alpha 90.00
_cell_angle_beta 90.00
_cell_angle_gamma 90.00
loop_
_symmetry_equiv_pos_as_xyz
'x,y,z'
'-x,-y,z'
'-x,y,z'
'x,-y,z'
'x,y+1/2,z+1/2'
'-x,-y+1/2,z+1/2'
'-x,y+1/2,z+1/2'
'x,-y+1/2,z+1/2'
loop_
_atom_site_label
_atom_site_type_symbol
_atom_site_fract_x
_atom_site_fract_y
_atom_site_fract_z
_atom_site_occupancy
Li1 Li 0.000 0.000 0.000 1
Mg1 Mg 0.000 0.248 0.751 1
Mg2 Mg 0.238 0.243 0.422 1
Mg3 Mg 0.241 0.000 0.662 1
Mg4 Mg 0.248 0.000 0.167 1
Mg5 Mg 0.500 0.000 0.000 1
Mg6 Mg 0.500 0.000 0.500 1
Mg7 Mg 0.500 0.249 0.752 1
W1 W 0.000 0.000 0.499 1
```

Principal peaks in the range 10° ≤ 2θ ≤ 90°, by intensity:
- 37.41 deg, I 100, hkl 2 2 2
- 18.45 deg, I 79, hkl 1 1 1
- 16.16 deg, I 56, hkl 0 1 1
- 37.85 deg, I 46, hkl 2 0 4
- 24.11 deg, I 39, hkl 2 1 1
- 35.99 deg, I 35, hkl 4 0 0
- 32.65 deg, I 27, hkl 0 2 2
- 29.86 deg, I 24, hkl 1 1 3

***

Entry 4:
Structure and computed XRD peak list of Zr2SiNi3 (a DFT-relaxed cell (PBE, the Materials Project); CuKα).
Neutral-atom scattering factors, no anomalous dispersion.

```
data_Zr2SiNi3
_chemical_formula_sum 'Zr4 Si2 Ni6'
_symmetry_space_group_name_H-M 'P 63/m m c'
_symmetry_Int_Tables_number 194
_symmetry_space_group_name_Hall '-P 6c 2c'
_cell_length_a 5.0182
_cell_length_b 5.0182
_cell_length_c 7.8290
_cell_angle_alpha 90.00
_cell_angle_beta 90.00
_cell_angle_gamma 120.00
loop_
_atom_site_label
_atom_site_type_symbol
_atom_site_fract_x
_atom_site_fract_y
_atom_site_fract_z
_atom_site_occupancy
Zr1 Zr 0.3333 0.6667 0.0544 1
Si1 Si 0.0000 0.0000 0.0000 1
Ni1 Ni 0.1673 0.3345 0.7500 1
```

Principal peaks in the range 10° ≤ 2θ ≤ 90°, by intensity:
- 42.81 deg, I 100, hkl 1 1 2
- 43.21 deg, I 86, hkl 2 0 1
- 40.31 deg, I 80, hkl 1 0 3
- 74.73 deg, I 34, hkl 2 0 5
- 35.79 deg, I 33, hkl 1 1 0
- 67.36 deg, I 32, hkl 2 1 3
- 41.56 deg, I 26, hkl 2 0 0
- 30.74 deg, I 25, hkl 1 0 2

***

Entry 5:
Structure and computed XRD peak list of NaAlI4 (a DFT-relaxed cell (PBE, the Materials Project); CuKα).
Neutral-atom scattering factors, no anomalous dispersion.

```
data_NaAlI4
_chemical_formula_sum 'Na4 Al4 I16'
_symmetry_space_group_name_H-M 'P n m a'
_symmetry_Int_Tables_number 62
_cell_length_a 15.169
_cell_length_b 8.395
_cell_length_c 8.471
_cell_angle_alpha 90.00
_cell_angle_beta 90.00
_cell_angle_gamma 90.00
loop_
_symmetry_equiv_pos_as_xyz
'x,y,z'
'-x,-y,-z'
'-x+1/2,-y,z+1/2'
'x+1/2,y,-z+1/2'
'x+1/2,-y+1/2,-z+1/2'
'-x+1/2,y+1/2,z+1/2'
'-x,y+1/2,-z'
'x,-y+1/2,z'
loop_
_atom_site_label
_atom_site_type_symbol
_atom_site_fract_x
_atom_site_fract_y
_atom_site_fract_z
_atom_site_occupancy
Na1 Na 0.150 0.250 0.054 1
Al1 Al 0.102 0.750 0.803 1
I1 I 0.035 0.250 0.372 1
I2 I 0.052 0.750 0.093 1
I3 I 0.200 0.506 0.744 1
```

Principal peaks in the range 10° ≤ 2θ ≤ 90°, by intensity:
- 24.24 deg, I 100, hkl 2 2 0
- 25.74 deg, I 43, hkl 4 0 1
- 43.11 deg, I 39, hkl 0 4 0
- 26.45 deg, I 27, hkl 2 2 1
- 45.51 deg, I 24, hkl 4 2 3
- 24.07 deg, I 20, hkl 2 0 2
- 29.97 deg, I 19, hkl 0 2 2
- 23.06 deg, I 18, hkl 3 1 1

***

Entry 6:
Structure and computed XRD peak list of OF (a DFT-relaxed cell (PBE, the Materials Project); CuKα).
Neutral-atom scattering factors, no anomalous dispersion.

```
data_OF
_chemical_formula_sum 'O6 F6'
_symmetry_space_group_name_H-M 'R -3 m'
_symmetry_Int_Tables_number 166
_symmetry_space_group_name_Hall '-R 3 2"'
_cell_length_a 3.0426
_cell_length_b 3.0426
_cell_length_c 21.1747
_cell_angle_alpha 90.00
_cell_angle_beta 90.00
_cell_angle_gamma 120.00
loop_
_atom_site_label
_atom_site_type_symbol
_atom_site_fract_x
_atom_site_fract_y
_atom_site_fract_z
_atom_site_occupancy
O1 O 0.0000 0.0000 0.1071 1
F1 F 0.0000 0.0000 0.3906 1
```

Principal peaks in the range 10° ≤ 2θ ≤ 90°, by intensity:
- 38.15 deg, I 100, hkl 1 0 4
- 25.24 deg, I 48, hkl 0 0 6
- 48.77 deg, I 22, hkl 0 1 8
- 55.69 deg, I 22, hkl 1 0 10
- 60.90 deg, I 21, hkl 1 1 0
- 71.99 deg, I 10, hkl 0 1 14
- 66.98 deg, I 10, hkl 1 1 6
- 74.17 deg, I 8, hkl 0 2 4

***

Entry 7:
Structure and computed XRD peak list of Sm2Mn2Al2Fe13C (a DFT-relaxed cell (PBE, the Materials Project); CuKα).
Neutral-atom scattering factors, no anomalous dispersion.

```
data_Sm2Mn2Al2Fe13C
_chemical_formula_sum 'Sm2 Mn2 Al2 Fe13 C1'
_symmetry_space_group_name_H-M 'P -1'
_symmetry_Int_Tables_number 2
_cell_length_a 6.421
_cell_length_b 6.439
_cell_length_c 6.486
_cell_angle_alpha 82.83
_cell_angle_beta 83.31
_cell_angle_gamma 83.24
loop_
_symmetry_equiv_pos_as_xyz
'x,y,z'
'-x,-y,-z'
loop_
_atom_site_label
_atom_site_type_symbol
_atom_site_fract_x
_atom_site_fract_y
_atom_site_fract_z
_atom_site_occupancy
Sm1 Sm 0.140 0.155 0.155 1
Mn1 Mn 0.000 0.500 0.500 1
Mn2 Mn 0.500 0.000 0.500 1
Al1 Al 0.397 0.399 0.395 1
Fe1 Fe 0.155 0.160 0.646 1
Fe2 Fe 0.155 0.648 0.160 1
Fe3 Fe 0.214 0.784 0.498 1
Fe4 Fe 0.218 0.497 0.778 1
Fe5 Fe 0.352 0.844 0.843 1
Fe6 Fe 0.499 0.213 0.783 1
Fe7 Fe 0.500 0.500 0.000 1
C1 C 0.500 0.000 0.000 1
```

Principal peaks in the range 10° ≤ 2θ ≤ 90°, by intensity:
- 42.72 deg, I 100, hkl 0 3 0
- 42.32 deg, I 86, hkl 0 2 -2
- 43.67 deg, I 75, hkl 2 2 2
- 42.13 deg, I 31, hkl 2 0 -2
- 36.32 deg, I 31, hkl -2 1 1
- 30.13 deg, I 30, hkl 1 2 0
- 42.39 deg, I 27, hkl -1 2 2
- 29.95 deg, I 23, hkl 1 0 2

***

Q: What is the formula in the fifth record?
A: NaAlI4